(1)
Mg7GaHg2: theoretical XRD peak list (λ = 1.5418 Å (Cu Kα)), based on a DFT-relaxed cell (PBE, Alexandria).
Kinematic intensities with the Lorentz-polarization factor, no thermal factor.

Crystal structure
Unit cell a=4.7632 b=4.7632 c=11.5921 alpha=90.00 beta=90.00 gamma=120.00
Element x y z (fractional)
Mg 0.0000 0.0000 0.0000
Mg 0.0000 0.0000 0.2593
Mg 0.0000 0.0000 0.7404
Mg 0.3333 0.6667 0.4125
Mg 0.3333 0.6667 0.8900
Mg 0.6667 0.3333 0.1150
Mg 0.6667 0.3333 0.5843
Ga 0.3333 0.6667 0.1547
Hg 0.0000 0.0000 0.5002
Hg 0.6667 0.3333 0.8434

Largest 10 diffraction maxima, in order of rising 2θ, 2θ from 15° to 90°:
d/Å  I/Imax
3.886  100
3.864  33
3.361  45
2.382  57
2.371  59
2.029  53
2.021  15
1.680  21
1.545  15
1.373  21

***

(2)
Mg3Ga8Hg: theoretical XRD peak list (λ = 1.5418 Å (Cu Kα)), based on a DFT-relaxed cell (PBE, Alexandria).
Kinematic intensities with the Lorentz-polarization factor, no thermal factor.

Crystal structure
Unit cell a=5.5774 b=5.5774 c=8.8589 alpha=90.00 beta=90.00 gamma=120.00
Element x y z (fractional)
Mg 0.0000 0.0000 0.0000
Mg 0.0000 0.0000 0.3806
Mg 0.3333 0.6667 0.8593
Ga 0.0094 0.5047 0.1827
Ga 0.3211 0.1605 0.6908
Ga 0.4953 0.5047 0.1827
Ga 0.4953 0.9906 0.1827
Ga 0.6667 0.3333 0.4394
Ga 0.6667 0.3333 0.9332
Ga 0.8395 0.1605 0.6908
Ga 0.8395 0.6789 0.6908
Hg 0.3333 0.6667 0.4984

Largest 10 diffraction maxima, in order of rising 2θ, 2θ from 15° to 90°:
d/Å  I/Imax
4.830  32
4.241  53
3.265  25
2.519  66
2.360  100
2.330  95
2.120  27
1.553  25
1.429  29
1.394  27